1.
For LaSbMo2O9, a crystal structure in the Materials Project, relaxed with PBE+U gives the theoretical powder XRD pattern in this record (Cu Kα X-rays).

Structure:
a b c (Å): 13.3693 14.8977 11.1482
angles (deg): 90.00 123.29 90.00
Space group C2/c (No. 15)
Asymmetric unit:
La (0.0000, 0.1237, 0.2500) [4 per cell]
La (0.0000, 0.3233, 0.7500) [4 per cell]
Sb (0.1336, 0.4892, 0.5385) [8 per cell]
Mo (0.1547, 0.1047, 0.0268) [8 per cell]
Mo (0.2492, 0.1860, 0.6961) [8 per cell]
O (0.0174, 0.4421, 0.5969) [8 per cell]
O (0.0792, 0.0172, 0.9016) [8 per cell]
O (0.0875, 0.2091, 0.9406) [8 per cell]
O (0.1223, 0.2612, 0.2793) [8 per cell]
O (0.1414, 0.0877, 0.1771) [8 per cell]
O (0.1483, 0.1591, 0.5121) [8 per cell]
O (0.1776, 0.2619, 0.7497) [8 per cell]
O (0.1899, 0.4074, 0.9259) [8 per cell]
O (0.2033, 0.4192, 0.1975) [8 per cell]

The 10 most intense peaks (2θ = 10–90°), in order of rising 2θ:
hkl  d_spacing  I_rel
0 2 1  5.818  165
0 2 2  3.950  560
1 3 1  3.763  207
1 3 -2  3.688  508
2 2 1  3.478  565
4 0 -2  3.332  1000
2 4 -1  3.252  286
1 5 0  2.879  190
1 5 -4  1.951  255
3 5 2  1.844  177

=====

2.
For LiCo4O8, a crystal structure in the Materials Project, relaxed with PBE+U gives the theoretical powder XRD pattern in this record (Cu Kα X-rays).

Structure:
a b c (Å): 5.6647 5.7153 8.1249
angles (deg): 89.65 89.91 89.63
Space group P-1 (No. 2)
Asymmetric unit:
Li (0.0000, 0.0000, 0.0000) [1 per cell]
Li (0.5000, 0.5000, 0.5000) [1 per cell]
Co (0.0000, 0.0000, 0.5000) [1 per cell]
Co (0.0000, 0.5000, 0.5000) [1 per cell]
Co (0.2499, 0.2421, 0.7460) [2 per cell]
Co (0.2500, 0.7568, 0.2544) [2 per cell]
Co (0.5000, 0.0000, 0.0000) [1 per cell]
Co (0.5000, 0.5000, 0.0000) [1 per cell]
O (0.0007, 0.5371, 0.2679) [2 per cell]
O (0.0006, 0.9746, 0.2641) [2 per cell]
O (0.2248, 0.2539, 0.5142) [2 per cell]
O (0.2248, 0.7449, 0.4850) [2 per cell]
O (0.2676, 0.2321, 0.9773) [2 per cell]
O (0.2716, 0.7641, 0.0214) [2 per cell]
O (0.4988, 0.4612, 0.7517) [2 per cell]
O (0.5001, 0.0246, 0.7639) [2 per cell]

The 10 most intense peaks (2θ = 10–90°), in order of rising 2θ:
hkl  d_spacing  I_rel
0 1 1  4.688  471
0 1 -1  4.652  1000
0 1 -3  2.443  178
2 1 1  2.433  132
2 -1 1  2.417  92
2 0 2  2.328  96
0 0 4  2.031  255
2 2 0  2.018  252
2 -2 0  2.005  247
2 2 -4  1.429  195

=====

3.
For Mn3SbP6O24, a crystal structure in the Materials Project, relaxed with PBE+U gives the theoretical powder XRD pattern in this record (Cu Kα X-rays).

Structure:
a b c (Å): 8.4757 8.4757 21.6890
angles (deg): 90.00 90.00 120.00
Space group R3 (No. 146, hexagonal axes)
Asymmetric unit:
Mn (0.0000, 0.0000, 0.0000) [3 per cell]
Mn (0.0000, 0.0000, 0.2107) [3 per cell]
Mn (0.0000, 0.0000, 0.7116) [3 per cell]
Sb (0.0000, 0.0000, 0.4980) [3 per cell]
P (0.9999, 0.7105, 0.6071) [9 per cell]
P (0.0540, 0.3819, 0.7711) [9 per cell]
O (0.0279, 0.8388, 0.2672) [9 per cell]
O (0.0324, 0.1919, 0.7663) [9 per cell]
O (0.0320, 0.2003, 0.0465) [9 per cell]
O (0.0369, 0.8257, 0.5473) [9 per cell]
O (0.1642, 0.4634, 0.8306) [9 per cell]
O (0.1646, 0.7011, 0.3305) [9 per cell]
O (0.1685, 0.4711, 0.1087) [9 per cell]
O (0.1711, 0.6936, 0.6119) [9 per cell]

The 10 most intense peaks (2θ = 10–90°), in order of rising 2θ:
hkl  d_spacing  I_rel
0 1 2  6.079  567
1 0 4  4.361  888
1 1 0  4.238  529
1 1 3  3.656  1000
0 2 4  3.039  670
2 -1 6  2.751  635
3 -1 4  2.470  178
3 0 0  2.447  214
4 -2 6  1.828  178
2 1 10  1.709  192